Record 1
For ZrMo, a cell relaxed with PBE gives the calculated X-ray diffraction stick pattern in this record (Cu Kα).
Lines closer than 0.1° are merged.

Principal peaks in the range 10° ≤ 2θ ≤ 80°, low angle first:
2θ (°)  Rel. int.
38.2  100
55.1  17
69.0  33

Atomic structure:
a b c (Å): 4.7122 4.7122 4.7122
angles (deg): 60.00 60.00 60.00
Fractional coordinates of all 4 atoms:
Zr: 0.1250 0.1250 0.1250
Zr: 0.8750 0.8750 0.8750
Mo: 0.3750 0.3750 0.3750
Mo: 0.6250 0.6250 0.6250

=====

Record 2
For Tl5Sn4, a cell relaxed with PBE gives the calculated X-ray diffraction stick pattern in this record (Cu Kα).
Lines closer than 0.1° are merged.

Principal peaks in the range 10° ≤ 2θ ≤ 80°, low angle first:
2θ (°)  Rel. int.
10.6  4
32.1  52
32.6  100
46.0  19
47.5  9
57.6  39
58.5  19
67.2  6
68.3  12
76.4  8
76.7  8
78.9  8

Atomic structure:
a b c (Å): 8.5798 8.5798 8.5798
angles (deg): 92.85 92.85 154.24
Fractional coordinates of all 9 atoms:
Tl: 0.0000 0.0000 0.0000
Tl: 0.3329 0.3329 0.6658
Tl: 0.3329 0.6671 0.0000
Tl: 0.6671 0.3329 0.0000
Tl: 0.6671 0.6671 0.3342
Sn: 0.0000 0.3471 0.3471
Sn: 0.0000 0.6529 0.6529
Sn: 0.3471 0.0000 0.3471
Sn: 0.6529 0.0000 0.6529

=====

Record 3
For MnAgPd4, a cell relaxed with PBE gives the calculated X-ray diffraction stick pattern in this record (Cu Kα).
Lines closer than 0.1° are merged.

Principal peaks in the range 10° ≤ 2θ ≤ 80°, low angle first:
2θ (°)  Rel. int.
10.4  2
25.1  1
31.1  2
38.1  1
39.3  100
45.2  33
46.6  15
65.8  5
66.0  5
66.9  20
68.7  1
79.5  23

Atomic structure:
a b c (Å): 2.8375 3.8995 8.4975
angles (deg): 90.00 90.00 90.00
Fractional coordinates of all 6 atoms:
Mn: 0.0000 0.0000 0.0000
Ag: 0.5000 0.5000 0.5000
Pd: 0.0000 0.0000 0.3253
Pd: 0.0000 0.0000 0.6747
Pd: 0.5000 0.5000 0.1596
Pd: 0.5000 0.5000 0.8404

=====

Record 4
For TaNi2Pd2Pt, a cell relaxed with PBE gives the calculated X-ray diffraction stick pattern in this record (Cu Kα).
Lines closer than 0.1° are merged.

Principal peaks in the range 10° ≤ 2θ ≤ 80°, low angle first:
2θ (°)  Rel. int.
13.5  36
33.1  20
36.6  17
39.6  100
41.0  60
41.3  96
43.0  56
45.7  19
48.8  48
66.8  17
67.3  17
77.1  18

Atomic structure:
a b c (Å): 4.9526 5.4205 6.6093
angles (deg): 90.00 97.71 90.00
Fractional coordinates of all 12 atoms:
Ta: 0.2000 0.2500 0.1769
Ta: 0.8000 0.7500 0.8231
Ni: 0.0013 0.2500 0.4989
Ni: 0.4979 0.2500 0.5037
Ni: 0.5021 0.7500 0.4963
Ni: 0.9987 0.7500 0.5011
Pd: 0.3085 0.0017 0.8017
Pd: 0.3085 0.4983 0.8017
Pd: 0.6915 0.5017 0.1983
Pd: 0.6915 0.9983 0.1983
Pt: 0.1827 0.7500 0.1446
Pt: 0.8173 0.2500 0.8554

=====

Record 5
For K2Li2PaO6, a cell relaxed with PBE gives the calculated X-ray diffraction stick pattern in this record (Cu Kα).
Lines closer than 0.1° are merged.

Principal peaks in the range 10° ≤ 2θ ≤ 80°, low angle first:
2θ (°)  Rel. int.
14.3  28
18.5  41
23.5  100
32.4  23
34.5  17
35.5  12
40.4  23
43.9  34
48.1  22
52.6  22
59.1  17
72.8  11

Atomic structure:
a b c (Å): 5.5343 5.5343 6.1825
angles (deg): 90.00 90.00 120.00
Fractional coordinates of all 11 atoms:
K: 0.3333 0.6667 0.0000
K: 0.6667 0.3333 0.0000
Li: 0.3333 0.6667 0.5000
Li: 0.6667 0.3333 0.5000
Pa: 0.0000 0.0000 0.5000
O: 0.0000 0.3161 0.3187
O: 0.0000 0.6839 0.6813
O: 0.3161 0.0000 0.3187
O: 0.3161 0.3161 0.6813
O: 0.6839 0.0000 0.6813
O: 0.6839 0.6839 0.3187

=====

Record 6
For Mg3Ag8, a cell relaxed with PBE gives the calculated X-ray diffraction stick pattern in this record (Cu Kα).
Lines closer than 0.1° are merged.

Principal peaks in the range 10° ≤ 2θ ≤ 80°, low angle first:
2θ (°)  Rel. int.
24.3  9
37.5  100
42.4  17
42.6  17
45.5  14
61.7  11
63.9  10
64.1  10
74.3  12
74.6  12
78.7  11
79.9  10

Atomic structure:
a b c (Å): 5.1491 5.1491 10.8651
angles (deg): 104.17 104.17 45.59
Fractional coordinates of all 11 atoms:
Mg: 0.0000 0.0000 0.0000
Mg: 0.0974 0.0974 0.6417
Mg: 0.9026 0.9026 0.3583
Ag: 0.1805 0.1805 0.2726
Ag: 0.2748 0.2748 0.9106
Ag: 0.3678 0.3678 0.5456
Ag: 0.4541 0.4541 0.1811
Ag: 0.5459 0.5459 0.8189
Ag: 0.6322 0.6322 0.4544
Ag: 0.7252 0.7252 0.0894
Ag: 0.8195 0.8195 0.7274

=====

Record 7
For Ti8PbN2, a cell relaxed with PBE gives the calculated X-ray diffraction stick pattern in this record (Cu Kα).
Lines closer than 0.1° are merged.

Principal peaks in the range 10° ≤ 2θ ≤ 80°, low angle first:
2θ (°)  Rel. int.
13.3  32
17.7  49
26.0  36
37.2  85
37.7  35
39.0  50
39.1  35
39.2  100
43.1  39
55.3  31
69.5  27
70.7  22

Atomic structure:
a b c (Å): 7.5367 7.5367 7.5367
angles (deg): 144.29 137.96 56.31
Fractional coordinates of all 11 atoms:
Ti: 0.1218 0.1218 0.0000
Ti: 0.1584 0.3977 0.7608
Ti: 0.2708 0.7708 0.5000
Ti: 0.3631 0.6023 0.7608
Ti: 0.6369 0.3977 0.2392
Ti: 0.7292 0.2292 0.5000
Ti: 0.8416 0.6023 0.2392
Ti: 0.8782 0.8782 0.0000
Pb: 0.5000 0.0000 0.5000
N: 0.2716 0.2716 0.0000
N: 0.7284 0.7284 0.0000

=====

Record 8
For Mg3AgPd2, a cell relaxed with PBE gives the calculated X-ray diffraction stick pattern in this record (Cu Kα).
Lines closer than 0.1° are merged.

Principal peaks in the range 10° ≤ 2θ ≤ 80°, low angle first:
2θ (°)  Rel. int.
26.8  27
28.0  49
39.1  100
40.0  48
48.8  21
55.2  8
57.8  16
63.0  10
64.8  9
65.4  8
70.3  16
72.0  31

Atomic structure:
a b c (Å): 3.1903 3.1903 9.9918
angles (deg): 90.00 90.00 90.00
Fractional coordinates of all 6 atoms:
Mg: 0.0000 0.0000 0.0000
Mg: 0.0000 0.0000 0.3165
Mg: 0.0000 0.0000 0.6835
Ag: 0.5000 0.5000 0.5000
Pd: 0.5000 0.5000 0.1609
Pd: 0.5000 0.5000 0.8391

=====

Record 9
For Na3Au, a cell relaxed with PBE gives the calculated X-ray diffraction stick pattern in this record (Cu Kα).
Lines closer than 0.1° are merged.

Principal peaks in the range 10° ≤ 2θ ≤ 80°, low angle first:
2θ (°)  Rel. int.
10.8  100
21.8  26
22.3  84
27.2  21
30.8  38
32.7  32
32.9  15
35.1  32
38.0  26
45.7  25
49.9  21
57.5  16

Atomic structure:
a b c (Å): 8.6711 8.6711 8.6711
angles (deg): 152.58 152.58 39.16
Fractional coordinates of all 4 atoms:
Na: 0.0000 0.0000 0.0000
Na: 0.3217 0.3217 0.0000
Na: 0.6783 0.6783 0.0000
Au: 0.5000 0.5000 0.0000

=====

Record 10
For Zn3Te, a cell relaxed with PBE gives the calculated X-ray diffraction stick pattern in this record (Cu Kα).
Lines closer than 0.1° are merged.

Principal peaks in the range 10° ≤ 2θ ≤ 80°, low angle first:
2θ (°)  Rel. int.
29.6  50
31.2  100
35.0  23
35.5  48
42.0  16
43.9  18
45.3  13
45.4  31
46.6  21
49.7  21
58.6  13
61.1  13

Atomic structure:
a b c (Å): 4.6077 7.9833 9.2491
angles (deg): 90.00 90.00 90.00
Fractional coordinates of all 16 atoms:
Zn: 0.1286 0.0075 0.1510
Zn: 0.1286 0.4925 0.1510
Zn: 0.1979 0.2500 0.8211
Zn: 0.3021 0.7500 0.3211
Zn: 0.3714 0.5075 0.6510
Zn: 0.3714 0.9925 0.6510
Zn: 0.6286 0.0075 0.3490
Zn: 0.6286 0.4925 0.3490
Zn: 0.6979 0.2500 0.6789
Zn: 0.8021 0.7500 0.1789
Zn: 0.8714 0.5075 0.8490
Zn: 0.8714 0.9925 0.8490
Te: 0.0066 0.2500 0.4284
Te: 0.4934 0.7500 0.9284
Te: 0.5066 0.2500 0.0716
Te: 0.9934 0.7500 0.5716

=====

Record 11
For YScTc4, a cell relaxed with PBE gives the calculated X-ray diffraction stick pattern in this record (Cu Kα).
Lines closer than 0.1° are merged.

Principal peaks in the range 10° ≤ 2θ ≤ 80°, low angle first:
2θ (°)  Rel. int.
20.4  25
23.6  2
33.6  16
39.6  100
41.4  54
48.2  11
52.9  6
54.4  1
60.0  6
64.1  31
70.6  28
74.3  4

Atomic structure:
a b c (Å): 5.3375 5.3375 5.3375
angles (deg): 60.00 60.00 60.00
Fractional coordinates of all 6 atoms:
Y: 0.0000 0.0000 0.0000
Sc: 0.2500 0.2500 0.2500
Tc: 0.1258 0.6247 0.6247
Tc: 0.6247 0.1258 0.6247
Tc: 0.6247 0.6247 0.1258
Tc: 0.6247 0.6247 0.6247

=====

Record 12
For LaYB6C6, a cell relaxed with PBE gives the calculated X-ray diffraction stick pattern in this record (Cu Kα).
Lines closer than 0.1° are merged.

Principal peaks in the range 10° ≤ 2θ ≤ 80°, low angle first:
2θ (°)  Rel. int.
18.2  6
25.9  100
31.9  3
37.0  39
41.5  4
45.7  84
53.3  15
56.8  2
60.2  21
66.6  3
72.7  40
78.7  6

Atomic structure:
a b c (Å): 4.8639 4.8639 4.8639
angles (deg): 90.00 90.00 90.00
Fractional coordinates of all 14 atoms:
La: 0.0000 0.0000 0.0000
Y: 0.5000 0.5000 0.5000
B: 0.0000 0.5000 0.2525
B: 0.0000 0.5000 0.7475
B: 0.2525 0.0000 0.5000
B: 0.5000 0.2525 0.0000
B: 0.5000 0.7475 0.0000
B: 0.7475 0.0000 0.5000
C: 0.0000 0.2528 0.5000
C: 0.0000 0.7472 0.5000
C: 0.2528 0.5000 0.0000
C: 0.5000 0.0000 0.2528
C: 0.5000 0.0000 0.7472
C: 0.7472 0.5000 0.0000

=====

Record 13
For Nd5TmTh, a cell relaxed with PBE gives the calculated X-ray diffraction stick pattern in this record (Cu Kα).
Lines closer than 0.1° are merged.

Principal peaks in the range 10° ≤ 2θ ≤ 80°, low angle first:
2θ (°)  Rel. int.
15.5  19
21.6  16
28.9  16
30.3  18
31.1  25
31.4  78
31.5  100
31.6  49
32.4  18
34.6  30
47.6  22
56.3  19

Atomic structure:
a b c (Å): 6.2829 6.2939 7.0619
angles (deg): 98.91 99.02 111.21
Fractional coordinates of all 7 atoms:
Nd: 0.0000 0.0000 0.0000
Nd: 0.0274 0.5916 0.2688
Nd: 0.4048 0.9731 0.7289
Nd: 0.5952 0.0269 0.2711
Nd: 0.9726 0.4084 0.7312
Tm: 0.5000 0.5000 0.5000
Th: 0.5000 0.5000 0.0000

=====

Record 14
For Th6TlSn, a cell relaxed with PBE gives the calculated X-ray diffraction stick pattern in this record (Cu Kα).
Lines closer than 0.1° are merged.

Principal peaks in the range 10° ≤ 2θ ≤ 80°, low angle first:
2θ (°)  Rel. int.
17.9  2
25.5  1
27.0  1
31.3  100
36.3  51
40.8  1
52.3  37
62.2  29
62.3  15
65.3  13
77.0  4
77.2  2

Atomic structure:
a b c (Å): 4.9515 4.9515 9.8811
angles (deg): 90.00 90.00 90.00
Fractional coordinates of all 8 atoms:
Th: 0.0000 0.0000 0.0000
Th: 0.0000 0.0000 0.5000
Th: 0.0000 0.5000 0.2471
Th: 0.0000 0.5000 0.7529
Th: 0.5000 0.0000 0.2471
Th: 0.5000 0.0000 0.7529
Tl: 0.5000 0.5000 0.5000
Sn: 0.5000 0.5000 0.0000